Record 1
This entry pairs a crystal structure of Li8Mn7FeB8O24 with its theoretical PXRD pattern. Radiation: λ = 1.5418 Å (Cu Kα). Structure: the GGA+U geometry in the Materials Project.
Intensities are scaled so that the largest is 100.

Main lines, in order of rising 2θ (10° ≤ 2θ ≤ 90°):
2θ = 19.5°, I = 35, hkl 1 -1 0
2θ = 21.3°, I = 20, hkl 1 -1 1
2θ = 21.5°, I = 32, hkl 1 1 -1
2θ = 25.5°, I = 24, hkl 1 1 2
2θ = 34.1°, I = 100, hkl 0 0 4
2θ = 40.3°, I = 25, hkl 0 4 1

Structure:
Lattice parameters (Å, degrees): 5.2489 9.1163 10.5114 88.22 89.13 89.86
Space group P1 (No. 1)
Asymmetric unit:
Li (0.0000, 0.0000, 0.0000)
Li (0.0159, 0.9952, 0.4999)
Li (0.3264, 0.3426, 0.2495)
Li (0.3675, 0.3292, 0.7498)
Li (0.4995, 0.4998, 0.9997)
Li (0.5166, 0.4947, 0.4999)
Li (0.8256, 0.8437, 0.2498)
Li (0.8672, 0.8299, 0.7500)
Mn (0.0104, 0.6675, 0.4653)
Mn (0.0107, 0.3332, 0.9651)
Mn (0.3384, 0.0085, 0.2174)
Mn (0.3576, 0.6679, 0.7155)
Mn (0.5104, 0.8341, 0.9656)
Mn (0.8379, 0.5076, 0.2147)
Mn (0.8552, 0.1677, 0.7133)
Fe (0.5027, 0.1688, 0.4648)
B (0.0053, 0.3337, 0.4576)
B (0.0158, 0.6667, 0.9577)
B (0.3359, 0.6707, 0.2081)
B (0.3518, 0.9988, 0.7067)
B (0.5094, 0.8373, 0.4584)
B (0.5160, 0.1667, 0.9578)
B (0.8365, 0.1707, 0.2087)
B (0.8525, 0.4984, 0.7077)
O (0.0013, 0.3791, 0.7484)
O (0.0831, 0.6855, 0.2488)
O (0.0912, 0.9842, 0.6930)
O (0.2693, 0.3436, 0.4453)
O (0.2755, 0.6506, 0.9272)
O (0.3577, 0.9607, 0.4292)
O (0.3728, 0.0453, 0.9999)
O (0.3966, 0.7049, 0.4991)
O (0.4032, 0.3037, 0.9433)
O (0.4443, 0.5330, 0.1941)
O (0.4669, 0.1342, 0.6756)
O (0.4817, 0.7963, 0.1781)
O (0.5012, 0.8799, 0.7484)
O (0.5842, 0.1856, 0.2499)
O (0.5919, 0.4842, 0.6932)
O (0.7706, 0.8483, 0.4434)
O (0.7755, 0.1505, 0.9270)
O (0.8569, 0.4580, 0.4275)
O (0.8729, 0.5450, 0.9997)
O (0.8891, 0.2026, 0.4973)
O (0.9029, 0.8036, 0.9433)
O (0.9451, 0.0333, 0.1937)
O (0.9679, 0.6342, 0.6778)
O (0.9826, 0.2961, 0.1781)


Record 2
This entry pairs a crystal structure of Li2MnFeB2O6 with its theoretical PXRD pattern. Radiation: λ = 1.5418 Å (Cu Kα). Structure: the GGA+U geometry in the Materials Project.
Intensities are scaled so that the largest is 100.

Main lines, in order of rising 2θ (10° ≤ 2θ ≤ 90°):
2θ = 20.4°, I = 83, hkl 0 0 2
2θ = 22.2°, I = 33, hkl 1 0 1
2θ = 22.5°, I = 61, hkl -1 1 1
2θ = 33.4°, I = 100, hkl 0 2 0
2θ = 34.1°, I = 33, hkl 2 -1 0
2θ = 40.9°, I = 34, hkl 2 0 -2

Structure:
Lattice parameters (Å, degrees): 5.2639 6.0378 8.9753 102.45 90.93 113.82
Space group P-1 (No. 2)
Asymmetric unit:
Li (0.0937, 0.3245, 0.4659)
Li (0.4026, 0.6694, 0.0327)
Mn (0.4582, 0.7694, 0.7085)
Fe (0.0501, 0.2371, 0.7914)
B (0.0550, 0.2597, 0.1315)
B (0.4399, 0.7379, 0.3655)
O (0.1190, 0.1717, 0.2535)
O (0.1714, 0.6760, 0.8654)
O (0.2235, 0.2934, 0.0146)
O (0.2745, 0.7006, 0.4835)
O (0.3250, 0.3151, 0.6371)
O (0.3684, 0.8214, 0.2438)


Record 3
This entry pairs a crystal structure of Li2MnFeB2O6 with its theoretical PXRD pattern. Radiation: λ = 1.5418 Å (Cu Kα). Structure: the GGA+U geometry in the Materials Project.
Intensities are scaled so that the largest is 100.

Main lines, in order of rising 2θ (10° ≤ 2θ ≤ 90°):
2θ = 21.5°, I = 100, hkl 2 0 0
2θ = 35.8°, I = 79, hkl 2 1 0
2θ = 37.7°, I = 32, hkl 3 0 3
2θ = 47.8°, I = 28, hkl 3 1 -3
2θ = 52.9°, I = 25, hkl 4 1 0
2θ = 54.6°, I = 18, hkl 3 1 5

Structure:
Lattice parameters (Å, degrees): 8.2643 3.1619 14.3136 90.00 90.01 90.00
Space group Pm (No. 6)
Asymmetric unit:
Li (0.0000, 0.0000, 0.0000)
Li (0.0253, 0.0000, 0.7061)
Li (0.0748, 0.0000, 0.3376)
Li (0.5018, 0.0000, 0.4976)
Li (0.5274, 0.0000, 0.2058)
Li (0.5744, 0.0000, 0.8415)
Mn (0.1753, 0.5000, 0.5279)
Mn (0.2331, 0.5000, 0.8545)
Mn (0.6930, 0.5000, 0.6622)
Fe (0.1916, 0.5000, 0.1644)
Fe (0.6804, 0.5000, 0.0280)
Fe (0.7309, 0.5000, 0.3515)
B (0.3671, 0.0000, 0.6814)
B (0.3677, 0.0000, 0.0167)
B (0.3693, 0.5000, 0.3475)
B (0.8654, 0.5000, 0.8486)
B (0.8673, 0.0000, 0.1816)
B (0.8670, 0.0000, 0.5127)
O (0.0027, 0.5000, 0.7919)
O (0.0197, 0.0000, 0.1398)
O (0.0201, 0.0000, 0.4721)
O (0.2167, 0.5000, 0.3057)
O (0.2260, 0.0000, 0.6286)
O (0.2305, 0.0000, 0.9598)
O (0.3493, 0.0000, 0.1134)
O (0.3583, 0.0000, 0.7784)
O (0.3837, 0.5000, 0.4443)
O (0.5078, 0.5000, 0.2921)
O (0.5167, 0.0000, 0.6372)
O (0.5216, 0.0000, 0.9768)
O (0.7120, 0.5000, 0.8086)
O (0.7285, 0.0000, 0.1264)
O (0.7296, 0.0000, 0.4565)
O (0.8527, 0.0000, 0.6099)
O (0.8544, 0.0000, 0.2785)
O (0.8812, 0.5000, 0.9457)


Record 4
This entry pairs a crystal structure of LiFe2B2O6 with its theoretical PXRD pattern. Radiation: λ = 1.5418 Å (Cu Kα). Structure: the GGA+U geometry in the Materials Project.
Intensities are scaled so that the largest is 100.

Main lines, in order of rising 2θ (10° ≤ 2θ ≤ 90°):
2θ = 19.6°, I = 50, hkl 0 2 -1
2θ = 21.5°, I = 100, hkl -1 1 1
2θ = 26.1°, I = 49, hkl 1 1 1
2θ = 26.5°, I = 34, hkl -1 1 2
2θ = 34.1°, I = 48, hkl 1 -3 1
2θ = 35.4°, I = 67, hkl 0 0 4

Structure:
Lattice parameters (Å, degrees): 5.2848 9.0793 11.3587 113.35 102.44 90.16
Space group P1 (No. 1)
Asymmetric unit:
Li (0.0000, 0.0000, 0.0000)
Li (0.0628, 0.3926, 0.7429)
Li (0.3258, 0.6182, 0.2514)
Li (0.5625, 0.8872, 0.7436)
Fe (0.0415, 0.7043, 0.7069)
Fe (0.2322, 0.9077, 0.4616)
Fe (0.2945, 0.2672, 0.2194)
Fe (0.4881, 0.8171, 0.9678)
Fe (0.5466, 0.2045, 0.7176)
Fe (0.7412, 0.3997, 0.4534)
Fe (0.7975, 0.7790, 0.2162)
Fe (0.9936, 0.3337, 0.9729)
B (0.0325, 0.0379, 0.7134)
B (0.2418, 0.5672, 0.4611)
B (0.2814, 0.9378, 0.2081)
B (0.4821, 0.1447, 0.9552)
B (0.5457, 0.5301, 0.7128)
B (0.7456, 0.0745, 0.4699)
B (0.7950, 0.4516, 0.2180)
B (0.9909, 0.6600, 0.9552)
O (0.0181, 0.5684, 0.5056)
O (0.0353, 0.4296, 0.1811)
O (0.0897, 0.5178, 0.9361)
O (0.1087, 0.7761, 0.9240)
O (0.1373, 0.0550, 0.1939)
O (0.2076, 0.8367, 0.2659)
O (0.2572, 0.1722, 0.0000)
O (0.2735, 0.0208, 0.6749)
O (0.3323, 0.7022, 0.4497)
O (0.3738, 0.4301, 0.4288)
O (0.4151, 0.4002, 0.7164)
O (0.4479, 0.6824, 0.7561)
O (0.5049, 0.9031, 0.1595)
O (0.5206, 0.0745, 0.5184)
O (0.5927, 0.2468, 0.9102)
O (0.6059, 0.0050, 0.9450)
O (0.6594, 0.5773, 0.2147)
O (0.6945, 0.3407, 0.2586)
O (0.7726, 0.7018, 0.0057)
O (0.7755, 0.5119, 0.6703)
O (0.8448, 0.2094, 0.4664)
O (0.8657, 0.9326, 0.4300)
O (0.9072, 0.9127, 0.7212)
O (0.9305, 0.1873, 0.7435)


Record 5
This entry pairs a crystal structure of LiFe2B2O6 with its theoretical PXRD pattern. Radiation: λ = 1.5418 Å (Cu Kα). Structure: the GGA+U geometry in the Materials Project.
Intensities are scaled so that the largest is 100.

Main lines, in order of rising 2θ (10° ≤ 2θ ≤ 90°):
2θ = 19.4°, I = 35, hkl 1 1 1
2θ = 19.6°, I = 62, hkl 0 2 1
2θ = 21.4°, I = 100, hkl 1 1 2
2θ = 26.1°, I = 34, hkl -1 1 2
2θ = 26.4°, I = 40, hkl 1 1 3
2θ = 35.2°, I = 78, hkl 0 0 4

Structure:
Lattice parameters (Å, degrees): 5.2896 9.0562 11.4090 66.93 77.28 89.81
Space group P1 (No. 1)
Asymmetric unit:
Li (0.0000, 0.0000, 0.0000)
Li (0.0737, 0.3820, 0.2210)
Li (0.2674, 0.2368, 0.4796)
Li (0.8202, 0.1145, 0.7407)
Fe (0.0232, 0.3480, 0.9667)
Fe (0.0782, 0.7191, 0.2195)
Fe (0.2883, 0.8973, 0.4680)
Fe (0.3330, 0.3008, 0.7153)
Fe (0.5172, 0.8234, 0.9668)
Fe (0.5765, 0.2016, 0.2183)
Fe (0.7660, 0.4247, 0.4607)
Fe (0.8313, 0.7946, 0.7035)
B (0.0262, 0.6832, 0.9613)
B (0.0778, 0.0571, 0.2125)
B (0.2788, 0.5752, 0.4675)
B (0.3212, 0.9625, 0.7133)
B (0.5294, 0.1572, 0.9651)
B (0.5795, 0.5368, 0.2082)
B (0.7861, 0.0885, 0.4645)
B (0.8271, 0.4547, 0.7173)
O (0.0482, 0.4100, 0.7655)
O (0.0668, 0.5873, 0.4139)
O (0.1152, 0.5366, 0.9949)
O (0.1414, 0.8057, 0.9854)
O (0.2040, 0.8528, 0.6817)
O (0.2103, 0.1059, 0.7020)
O (0.2932, 0.0438, 0.2660)
O (0.3011, 0.1917, 0.9204)
O (0.3638, 0.4154, 0.5214)
O (0.4148, 0.6978, 0.4701)
O (0.4417, 0.3961, 0.2260)
O (0.4751, 0.6833, 0.1527)
O (0.5503, 0.1027, 0.4245)
O (0.5572, 0.9340, 0.7532)
O (0.6305, 0.2459, 0.0221)
O (0.6656, 0.0321, 0.9467)
O (0.7091, 0.3399, 0.6852)
O (0.7298, 0.5951, 0.7064)
O (0.8079, 0.5301, 0.2483)
O (0.8104, 0.7234, 0.9044)
O (0.8796, 0.9381, 0.5152)
O (0.9225, 0.2242, 0.4542)
O (0.9564, 0.2023, 0.1869)
O (0.9891, 0.9414, 0.1815)


Record 6
This entry pairs a crystal structure of LiFe2B2O6 with its theoretical PXRD pattern. Radiation: λ = 1.5418 Å (Cu Kα). Structure: the GGA+U geometry in the Materials Project.
Intensities are scaled so that the largest is 100.

Main lines, in order of rising 2θ (10° ≤ 2θ ≤ 90°):
2θ = 19.5°, I = 82, hkl 0 2 1
2θ = 21.4°, I = 100, hkl 1 -1 1
2θ = 26.2°, I = 28, hkl 1 1 -1
2θ = 26.4°, I = 35, hkl 1 -1 2
2θ = 34.0°, I = 44, hkl 1 3 2
2θ = 35.6°, I = 66, hkl 0 0 4

Structure:
Lattice parameters (Å, degrees): 5.2757 9.1136 11.3591 66.47 76.94 89.74
Space group P1 (No. 1)
Asymmetric unit:
Li (0.0000, 0.0000, 0.0000)
Li (0.1766, 0.8560, 0.2693)
Li (0.4993, 0.4949, 0.0044)
Li (0.7382, 0.7215, 0.5120)
Fe (0.1727, 0.5011, 0.2939)
Fe (0.2277, 0.8832, 0.5411)
Fe (0.4133, 0.4274, 0.7797)
Fe (0.4788, 0.8099, 0.0384)
Fe (0.6653, 0.0197, 0.2873)
Fe (0.7179, 0.3712, 0.5324)
Fe (0.9160, 0.9277, 0.7838)
Fe (0.9699, 0.3168, 0.0346)
B (0.1724, 0.1760, 0.2829)
B (0.2181, 0.5591, 0.5299)
B (0.4180, 0.7577, 0.7948)
B (0.4653, 0.1358, 0.0411)
B (0.6732, 0.6790, 0.2896)
B (0.7156, 0.0474, 0.5367)
B (0.9120, 0.2625, 0.7888)
B (0.9758, 0.6396, 0.0403)
O (0.0445, 0.3653, 0.8231)
O (0.0928, 0.6935, 0.5210)
O (0.1253, 0.4498, 0.4881)
O (0.2020, 0.8073, 0.7458)
O (0.2083, 0.6138, 0.0853)
O (0.2830, 0.3092, 0.2828)
O (0.2881, 0.0294, 0.3201)
O (0.3152, 0.0012, 0.0587)
O (0.3841, 0.2897, 0.9893)
O (0.4332, 0.6869, 0.2548)
O (0.4485, 0.5342, 0.5772)
O (0.5043, 0.6116, 0.8068)
O (0.5466, 0.8551, 0.8355)
O (0.5916, 0.1760, 0.5288)
O (0.6354, 0.9394, 0.4848)
O (0.6970, 0.3101, 0.7380)
O (0.7008, 0.1152, 0.0817)
O (0.7827, 0.8123, 0.2983)
O (0.8003, 0.5417, 0.3185)
O (0.8386, 0.5192, 0.0329)
O (0.8901, 0.7949, 0.9997)
O (0.9279, 0.0042, 0.5940)
O (0.9466, 0.1780, 0.2397)
O (0.9908, 0.1116, 0.8134)